For Co6OF11, a DFT-relaxed cell (GGA+U, the Materials Project) gives the computed powder diffractogram in this record (a wavelength of 1.5418 Å).
Neutral-atom scattering factors, no anomalous dispersion.

Largest 12 diffraction maxima, by angle, 2θ = 10–90°:
Position (°2θ)	I/Imax
26.41	87
26.98	81
33.74	100
38.12	14
38.69	16
39.10	16
51.48	60
52.13	53
54.38	17
55.63	15
57.35	19
66.10	39

Lattice parameters (Å, degrees): 3.2134 20.2471 6.6090 90.00 90.00 90.00
Space group Amm2 (No. 38)
Unique sites:
Co: 0.0000 0.0000 0.0000 x2
Co: 0.0000 0.1665 0.4837 x4
Co: 0.5000 0.0000 0.4600 x2
Co: 0.5000 0.1670 0.9796 x4
O: 0.0000 0.0000 0.2738 x2
F: 0.0000 0.0000 0.6905 x2
F: 0.0000 0.1669 0.1784 x4
F: 0.0000 0.1682 0.7883 x4
F: 0.5000 0.0655 0.9785 x4
F: 0.5000 0.1015 0.4856 x4
F: 0.5000 0.2321 0.4832 x4

---

For LiFe4B4O12, a DFT-relaxed cell (GGA+U, the Materials Project) gives the computed powder diffractogram in this record (a wavelength of 1.5418 Å).
Neutral-atom scattering factors, no anomalous dispersion.

Largest 12 diffraction maxima, by angle, 2θ = 10–90°:
Position (°2θ)	I/Imax
19.41	54
19.69	94
21.33	57
21.41	54
21.58	67
26.23	85
26.37	64
33.78	31
34.24	37
34.32	36
35.58	100
40.40	48

Lattice parameters (Å, degrees): 5.2265 9.1592 11.3666 113.72 102.55 90.87
Space group P1 (No. 1)
Unique sites:
Li: 0.0000 0.0000 0.0000 x1
Li: 0.1992 0.5223 0.7546 x1
Fe: 0.2240 0.1981 0.7765 x1
Fe: 0.2460 0.5866 0.5241 x1
Fe: 0.4647 0.1240 0.2746 x1
Fe: 0.5212 0.1829 0.0271 x1
Fe: 0.7196 0.7145 0.7703 x1
Fe: 0.7498 0.0839 0.5245 x1
Fe: 0.9545 0.6209 0.2746 x1
Fe: 0.9949 0.6677 0.0237 x1
B: 0.0206 0.3338 0.0252 x1
B: 0.2217 0.8790 0.7800 x1
B: 0.2493 0.9146 0.5249 x1
B: 0.4528 0.4601 0.2800 x1
B: 0.4983 0.8387 0.0251 x1
B: 0.7163 0.3757 0.7731 x1
B: 0.7503 0.4145 0.5263 x1
B: 0.9571 0.9559 0.2727 x1
O: 0.0170 0.7964 0.2230 x1
O: 0.0183 0.4387 0.5458 x1
O: 0.1076 0.7630 0.4784 x1
O: 0.1135 0.0745 0.2728 x1
O: 0.1170 0.0491 0.5763 x1
O: 0.2179 0.4884 0.3238 x1
O: 0.2350 0.3111 0.9670 x1
O: 0.3198 0.7294 0.7248 x1
O: 0.3339 0.7075 0.0018 x1
O: 0.3780 0.0209 0.8102 x1
O: 0.4175 0.9923 0.0741 x1
O: 0.4547 0.3628 0.7711 x1
O: 0.5037 0.9320 0.5201 x1
O: 0.5185 0.3047 0.2335 x1
O: 0.6084 0.5807 0.2804 x1
O: 0.6101 0.5463 0.5647 x1
O: 0.6163 0.2606 0.4772 x1
O: 0.7292 0.9868 0.3205 x1
O: 0.7454 0.8211 0.9942 x1
O: 0.8485 0.2415 0.7220 x1
O: 0.8647 0.5265 0.8236 x1
O: 0.8951 0.2110 0.0341 x1
O: 0.9463 0.4909 0.0763 x1
O: 0.9848 0.8869 0.8093 x1

---

For TlMo2Cl7O2, a DFT-relaxed cell (GGA+U, the Materials Project) gives the computed powder diffractogram in this record (a wavelength of 1.5418 Å).
Neutral-atom scattering factors, no anomalous dispersion.

Largest 12 diffraction maxima, by angle, 2θ = 10–90°:
Position (°2θ)	I/Imax
12.88	53
15.34	72
17.80	100
20.27	38
23.75	24
24.02	65
25.93	62
29.90	38
32.09	92
37.52	31
38.20	26
41.34	39

Lattice parameters (Å, degrees): 7.2346 9.8446 9.5999 90.00 90.00 90.00
Space group Pmmn (No. 59, origin choice 2)
Unique sites:
Tl: 0.2500 0.2500 0.0274 x2
Mo: 0.2500 0.5707 0.6885 x4
Cl: 0.0174 0.0488 0.8081 x8
Cl: 0.0187 0.7500 0.6161 x4
Cl: 0.2500 0.7500 0.8995 x2
O: 0.2500 0.0048 0.5298 x4

---

For Ti3FeNi2P6O24, a DFT-relaxed cell (GGA+U, the Materials Project) gives the computed powder diffractogram in this record (a wavelength of 1.5418 Å).
Neutral-atom scattering factors, no anomalous dispersion.

Largest 12 diffraction maxima, by angle, 2θ = 10–90°:
Position (°2θ)	I/Imax
20.57	79
24.34	100
25.33	20
31.95	15
33.31	70
36.02	36
47.74	30
49.88	26
56.37	21
56.98	15
63.05	20
76.40	10

Lattice parameters (Å, degrees): 8.6366 8.6366 20.6263 90.00 90.00 120.00
Space group R3 (No. 146, hexagonal axes)
Unique sites:
Ti: 0.0000 0.0000 0.0000 x3
Ti: 0.0000 0.0000 0.2121 x3
Ti: 0.0000 0.0000 0.5031 x3
Fe: 0.0000 0.0000 0.7140 x3
Ni: 0.0000 0.0000 0.3563 x3
Ni: 0.0000 0.0000 0.8538 x3
P: 0.0014 0.2980 0.6084 x9
P: 0.0022 0.7060 0.1072 x9
O: 0.0060 0.2100 0.6697 x9
O: 0.0104 0.1770 0.2785 x9
O: 0.0207 0.8243 0.1664 x9
O: 0.0210 0.8295 0.7857 x9
O: 0.1462 0.4748 0.2138 x9
O: 0.1465 0.6708 0.7129 x9
O: 0.1699 0.4872 0.5974 x9
O: 0.1730 0.6892 0.0983 x9

---

For Li9Mn2Co5O16, a DFT-relaxed cell (GGA+U, the Materials Project) gives the computed powder diffractogram in this record (a wavelength of 1.5418 Å).
Neutral-atom scattering factors, no anomalous dispersion.

Largest 12 diffraction maxima, by angle, 2θ = 10–90°:
Position (°2θ)	I/Imax
18.43	100
34.62	19
36.09	13
36.75	11
37.65	8
41.77	33
43.80	28
44.90	25
61.93	8
62.32	8
62.85	8
65.10	9

Lattice parameters (Å, degrees): 3.0001 5.0013 19.3427 94.50 92.67 92.18
Space group P1 (No. 1)
Unique sites:
Li: 0.0000 0.0000 0.0000 x1
Li: 0.0491 0.6881 0.1188 x1
Li: 0.1005 0.3733 0.2380 x1
Li: 0.2371 0.7474 0.4903 x1
Li: 0.3621 0.1245 0.7431 x1
Li: 0.4874 0.5152 0.0022 x1
Li: 0.6131 0.8661 0.2383 x1
Li: 0.7346 0.2523 0.4918 x1
Li: 0.8615 0.6257 0.7428 x1
Mn: 0.7981 0.9379 0.6175 x1
Mn: 0.9266 0.3132 0.8694 x1
Co: 0.1706 0.0626 0.3672 x1
Co: 0.2978 0.4376 0.6177 x1
Co: 0.4273 0.8134 0.8694 x1
Co: 0.5486 0.1875 0.1185 x1
Co: 0.6719 0.5617 0.3665 x1
O: 0.0379 0.3291 0.0637 x1
O: 0.0577 0.0472 0.1725 x1
O: 0.1491 0.7259 0.3087 x1
O: 0.1973 0.3989 0.4256 x1
O: 0.2393 0.1065 0.5606 x1
O: 0.3591 0.7688 0.6758 x1
O: 0.3719 0.4800 0.8118 x1
O: 0.4760 0.1482 0.9244 x1
O: 0.5148 0.8853 0.0626 x1
O: 0.5827 0.4884 0.1741 x1
O: 0.6505 0.2242 0.3107 x1
O: 0.7008 0.8960 0.4258 x1
O: 0.7379 0.5973 0.5612 x1
O: 0.8614 0.2764 0.6755 x1
O: 0.8641 0.9739 0.8114 x1
O: 0.9847 0.6540 0.9262 x1

---

For Li9Mn2Co5O16, a DFT-relaxed cell (GGA+U, the Materials Project) gives the computed powder diffractogram in this record (a wavelength of 1.5418 Å).
Neutral-atom scattering factors, no anomalous dispersion.

Largest 12 diffraction maxima, by angle, 2θ = 10–90°:
Position (°2θ)	I/Imax
18.43	100
35.00	17
36.23	12
36.32	12
37.34	8
42.22	31
44.17	52
47.30	5
62.60	15
62.90	15
63.92	7
64.56	7

Lattice parameters (Å, degrees): 2.9594 5.0564 19.3196 93.62 92.62 91.88
Space group P1 (No. 1)
Unique sites:
Li: 0.0000 0.0000 0.0000 x1
Li: 0.0467 0.6857 0.1192 x1
Li: 0.0946 0.3717 0.2397 x1
Li: 0.2346 0.7433 0.4904 x1
Li: 0.3566 0.1260 0.7453 x1
Li: 0.4875 0.5076 0.9995 x1
Li: 0.6125 0.8596 0.2395 x1
Li: 0.7297 0.2514 0.4926 x1
Li: 0.8596 0.6195 0.7435 x1
Mn: 0.4238 0.8113 0.8703 x1
Mn: 0.7969 0.9348 0.6181 x1
Co: 0.1698 0.0590 0.3673 x1
Co: 0.2962 0.4345 0.6182 x1
Co: 0.5460 0.1861 0.1197 x1
Co: 0.6697 0.5592 0.3672 x1
Co: 0.9229 0.3117 0.8704 x1
O: 0.0366 0.3259 0.0652 x1
O: 0.0560 0.0461 0.1737 x1
O: 0.1020 0.7202 0.3093 x1
O: 0.2383 0.1044 0.5601 x1
O: 0.2390 0.3987 0.4251 x1
O: 0.3538 0.7654 0.6756 x1
O: 0.3889 0.4749 0.8126 x1
O: 0.4557 0.1484 0.9265 x1
O: 0.5158 0.8851 0.0646 x1
O: 0.5770 0.4863 0.1747 x1
O: 0.6539 0.2235 0.3130 x1
O: 0.6906 0.8922 0.4237 x1
O: 0.7377 0.5962 0.5613 x1
O: 0.8572 0.2721 0.6758 x1
O: 0.8778 0.9544 0.8108 x1
O: 0.9692 0.6671 0.9298 x1

---

For VF5, a DFT-relaxed cell (GGA+U, the Materials Project) gives the computed powder diffractogram in this record (a wavelength of 1.5418 Å).
Neutral-atom scattering factors, no anomalous dispersion.

Largest 12 diffraction maxima, by angle, 2θ = 10–90°:
Position (°2θ)	I/Imax
18.27	100
18.58	73
20.73	34
21.90	21
23.76	71
24.02	92
26.17	52
28.67	15
35.83	17
40.55	26
47.30	25
63.58	13

Lattice parameters (Å, degrees): 5.2368 9.7105 8.9006 90.00 114.22 90.00
Space group P2_1/c (No. 14)
Unique sites:
V: 0.0807 0.2387 0.4327 x4
F: 0.0793 0.2015 0.6243 x4
F: 0.1492 0.6113 0.1950 x4
F: 0.1950 0.6425 0.6618 x4
F: 0.3114 0.1196 0.9788 x4
F: 0.3555 0.1389 0.4215 x4